The following is a theoretical X-ray powder pattern of Li2VCrP2H2O10. It was derived from a GGA+U-relaxed structure, using Cu Kα, 1.54184 Å.

Main lines, low angle first (2θ from 10° to 90°):
index	2θ (°)	intensity
0 1 0	17.64	34
1 0 -1	18.48	42
1 0 0	18.70	46
0 1 1	25.79	33
1 0 -2	26.59	73
0 1 -2	26.90	100
1 1 0	28.93	87
1 -2 0	36.01	37

Crystal structure
Cell lengths 5.1745, 5.4054, 7.3658 Å; angles 106.15, 108.73, 97.96 degrees
Space group P-1 (No. 2)
One atom of each set of equivalent atoms:
1 Li 0.2427 0.3933 0.3241
2 V 0.5000 0.0000 0.5000
3 Cr 0.5000 0.0000 0.0000
4 P 0.1784 0.3625 0.7329
5 H 0.1400 0.9353 0.1548
6 O 0.1285 0.7458 0.4260
7 O 0.1958 0.6584 0.8402
8 O 0.2294 0.2053 0.8817
9 O 0.3374 0.0451 0.2206
10 O 0.3856 0.3403 0.6174